1.
Computed PXRD pattern of SmPbF for copper Kα, from the PBE geometry in Alexandria.
Peak positions follow from Bragg's law for the DFT cell and can differ from measured ones.

Peak list (10 most intense, 2θ = 10–90°, sorted by position)
| 2θ/deg | intensity | h k l |
| --- | --- | --- |
| 25.83 | 21 | 1 0 0 |
| 30.80 | 100 | 1 0 1 |
| 33.31 | 20 | 0 0 2 |
| 42.63 | 12 | 1 0 2 |
| 45.56 | 25 | 1 1 0 |
| 56.00 | 19 | 2 0 1 |
| 57.60 | 25 | 1 1 2 |
| 57.97 | 17 | 1 0 3 |
| 74.97 | 16 | 2 1 1 |
| 87.54 | 8 | 1 1 4 |

Crystal structure
Lattice parameters (Å, degrees): 3.982 3.982 5.379 90.00 90.00 120.00
Fractional coordinates of all 3 atoms:
Sm1 0.000 0.000 0.000
Pb1 0.667 0.333 0.500
F1 0.333 0.667 0.000

***

2.
Computed PXRD pattern of TcSnPb2F for copper Kα, from the PBE geometry in Alexandria.
Peak positions follow from Bragg's law for the DFT cell and can differ from measured ones.

Peak list (10 most intense, 2θ = 10–90°, sorted by position)
| 2θ/deg | intensity | h k l |
| --- | --- | --- |
| 15.09 | 51 | 1 0 0 |
| 17.00 | 74 | 0 0 1 |
| 27.46 | 100 | 1 1 1 |
| 30.45 | 98 | 2 0 0 |
| 34.40 | 36 | 0 0 2 |
| 35.08 | 54 | 2 0 1 |
| 43.60 | 37 | 2 2 0 |
| 46.59 | 61 | 2 0 2 |
| 52.30 | 34 | 3 1 1 |
| 56.68 | 34 | 2 2 2 |

Crystal structure
Lattice parameters (Å, degrees): 5.872 5.872 5.214 90.00 90.00 90.00
Fractional coordinates of all 5 atoms:
Tc1 0.000 0.000 0.000
Sn1 0.000 0.000 0.500
Pb1 0.000 0.500 0.500
Pb2 0.500 0.000 0.500
F1 0.500 0.500 0.000